Mg4P2Ru5: calculated powder X-ray diffraction pattern (Cu Kα, 1.54184 Å), based on DFT lattice parameters and positions (PBE).

Structural model:
```
22
Lattice="8.9704 0.0000 0.0000 0.0000 12.0349 0.0000 0.0000 0.0000 3.0972" Properties=species:S:1:pos:R:3 pbc="T T T"
Mg 0.1381 1.5700 0.0000
Mg 1.2984 4.1527 0.0000
Mg 3.1868 10.1701 0.0000
Mg 4.3471 7.5874 0.0000
Mg 4.6233 4.4475 0.0000
Mg 5.7836 1.8648 0.0000
Mg 7.6720 7.8823 0.0000
Mg 8.8323 10.4650 0.0000
P 1.5787 6.9721 0.0000
P 2.9065 0.9546 0.0000
P 6.0639 11.0803 0.0000
P 7.3917 5.0629 0.0000
Ru 0.0000 6.0175 1.5486
Ru 1.4113 8.6452 1.5486
Ru 1.6155 11.8745 1.5486
Ru 2.8697 5.8571 1.5486
Ru 3.0739 2.6278 1.5486
Ru 4.4852 0.0000 1.5486
Ru 5.8965 9.4072 1.5486
Ru 6.1007 6.1779 1.5486
Ru 7.3549 0.1604 1.5486
Ru 7.5591 3.3897 1.5486
```

The 10 most intense peaks (2θ = 15–90°), most intense first:
Position (°2θ), I (rel.)
37.51, 100
42.68, 99
41.86, 94
21.14, 57
28.83, 52
36.01, 52
43.10, 49
47.99, 45
29.69, 42
70.06, 31

---

PmMg3Tl: calculated powder X-ray diffraction pattern (Cu Kα, 1.54184 Å), based on DFT lattice parameters and positions (PBE).

Structural model:
```
10
Lattice="2.5331 -14.2674 0.0000 2.5331 14.2674 0.0000 0.0000 0.0000 3.7275" Properties=species:S:1:pos:R:3 pbc="T T T"
Pm 2.5331 9.5448 0.0000
Pm 2.5331 -9.5448 0.0000
Mg 2.5331 12.6340 1.8637
Mg 2.5331 6.5176 1.8637
Mg 2.5331 1.4293 0.0000
Mg 2.5331 -1.4293 0.0000
Mg 2.5331 -6.5176 1.8637
Mg 2.5331 -12.6340 1.8637
Tl 2.5331 3.6677 1.8637
Tl 2.5331 -3.6677 1.8637
```

The 10 most intense peaks (2θ = 15–90°), most intense first:
Position (°2θ), I (rel.)
31.24, 100
37.19, 37
33.34, 30
35.44, 29
29.92, 28
23.48, 27
34.81, 24
50.55, 24
45.23, 18
39.01, 17

---

K2ZnBr: calculated powder X-ray diffraction pattern (Cu Kα, 1.54184 Å), based on DFT lattice parameters and positions (PBE).

Structural model:
```
4
Lattice="4.0419 0.0000 0.0000 0.0000 4.1188 0.0000 0.0000 0.0000 8.3721" Properties=species:S:1:pos:R:3 pbc="T T T"
K 0.0000 0.0000 1.9435
K 0.0000 0.0000 6.4286
Zn 2.0209 2.0594 4.1861
Br 2.0209 2.0594 0.0000
```

The 10 most intense peaks (2θ = 15–90°), most intense first:
Position (°2θ), I (rel.)
30.45, 100
30.75, 97
31.00, 97
54.61, 35
54.14, 34
55.18, 34
43.97, 18
43.22, 17
44.85, 16
21.22, 12

---

ScRuC: calculated powder X-ray diffraction pattern (Cu Kα, 1.54184 Å), based on DFT lattice parameters and positions (PBE).

Structural model:
```
12
Lattice="3.9576 0.0000 0.0000 0.0000 4.5820 0.0000 0.0000 0.0000 9.5796" Properties=species:S:1:pos:R:3 pbc="T T T"
Sc 0.0000 1.1455 1.0614
Sc 0.0000 3.4365 8.5182
Sc 1.9788 1.1455 3.7284
Sc 1.9788 3.4365 5.8512
Ru 0.0000 1.1455 6.2860
Ru 0.0000 3.4365 3.2937
Ru 1.9788 1.1455 8.0835
Ru 1.9788 3.4365 1.4961
C 0.0000 1.1455 8.3720
C 0.0000 3.4365 1.2077
C 1.9788 1.1455 5.9975
C 1.9788 3.4365 3.5821
```

The 10 most intense peaks (2θ = 15–90°), most intense first:
Position (°2θ), I (rel.)
35.35, 100
21.50, 47
39.33, 28
37.56, 20
45.86, 17
36.14, 15
68.73, 14
61.97, 13
55.51, 12
77.98, 11

---

LaZnIn2Au2: calculated powder X-ray diffraction pattern (Cu Kα, 1.54184 Å), based on DFT lattice parameters and positions (PBE).

Structural model:
```
12
Lattice="5.4463 0.0000 0.0000 0.0000 5.4463 0.0000 0.0000 0.0000 11.2348" Properties=species:S:1:pos:R:3 pbc="T T T"
La 0.0000 0.0000 0.0000
La 2.7232 2.7232 5.6174
Zn 0.0000 0.0000 5.6174
Zn 2.7232 2.7232 0.0000
In 0.0000 2.7232 2.8087
In 0.0000 2.7232 8.4261
In 2.7232 0.0000 2.8087
In 2.7232 0.0000 8.4261
Au 0.0000 0.0000 3.1295
Au 0.0000 0.0000 8.1054
Au 2.7232 2.7232 2.4880
Au 2.7232 2.7232 8.7469
```

The 10 most intense peaks (2θ = 15–90°), most intense first:
Position (°2θ), I (rel.)
32.89, 100
15.78, 64
46.45, 60
23.09, 47
31.86, 42
47.20, 36
36.67, 34
58.08, 30
28.93, 28
87.26, 20

---

Tb2S3: calculated powder X-ray diffraction pattern (Cu Kα, 1.54184 Å), based on DFT lattice parameters and positions (PBE).

Structural model:
```
40
Lattice="-4.1801 4.1801 12.4984 4.1801 -4.1801 12.4984 4.1801 4.1801 -12.4984" Properties=species:S:1:pos:R:3 pbc="T T T"
Tb 3.0174 2.1718 -5.2820
Tb 0.0000 0.0000 4.1225
Tb 6.1884 1.1627 0.9672
Tb 1.1627 2.1718 -0.9672
Tb 2.0900 -0.9921 9.3738
Tb 3.1880 2.0900 3.1246
Tb 2.0900 5.1722 -3.1246
Tb 1.1627 2.0083 7.2164
Tb 2.0083 -1.1627 17.7805
Tb 0.0000 4.1801 2.1267
Tb 3.0174 2.0083 11.5312
Tb 0.0000 0.0000 20.8743
Tb 2.1718 5.3428 5.2820
Tb 0.9921 2.0900 15.6230
Tb -2.0083 3.0174 13.4656
Tb 0.0000 4.1801 10.3718
S 6.8615 0.5623 -1.6500
S 2.6510 -0.5948 3.6034
S 4.7749 -1.5291 8.8950
S 1.4465 -0.6631 6.6725
S 3.5170 1.4465 0.4233
S 3.5853 2.6510 -2.6458
S 5.7092 0.5948 3.6034
S 0.5623 1.4987 1.6500
S 2.7336 4.8432 -5.8259
S 2.7336 -0.6631 12.0752
S 0.5623 2.6814 4.5992
S 1.5291 -0.5948 15.1443
S 3.5853 1.5291 8.8950
S 3.5170 2.7336 5.8259
S 1.4465 4.8432 -0.4233
S 0.5948 1.5291 9.8526
S 2.6510 4.7749 2.6458
S -1.4987 3.6178 7.8992
S 0.6631 2.7336 12.9217
S -0.5623 5.6788 4.5992
S -2.6814 3.6178 10.8484
S 1.4987 4.7424 7.8992
S 3.6178 2.6814 14.1485
S 0.6631 1.4465 18.3244
```

The 10 most intense peaks (2θ = 15–90°), most intense first:
Position (°2θ), I (rel.)
26.14, 100
33.91, 66
40.42, 58
34.01, 27
48.73, 25
51.32, 24
56.20, 15
85.35, 15
56.10, 14
69.33, 13

---

Th4NiBi3: calculated powder X-ray diffraction pattern (Cu Kα, 1.54184 Å), based on DFT lattice parameters and positions (PBE).

Structural model:
```
16
Lattice="7.9410 0.0000 0.0000 0.0000 9.0370 0.0000 -2.5106 0.0000 7.1582" Properties=species:S:1:pos:R:3 pbc="T T T"
Th 1.6110 0.9588 0.0746
Th 0.3558 8.0781 3.6537
Th 0.6343 3.1686 3.4157
Th -0.6210 5.8684 6.9948
Th 6.0514 3.1686 0.1634
Th 4.7961 5.8684 3.7425
Th 5.0747 0.9588 3.5045
Th 3.8194 8.0781 7.0836
Ni -0.6276 1.1088 1.7895
Ni -1.8829 7.9282 5.3686
Bi -1.8829 3.4109 5.3686
Bi -0.6276 5.6260 1.7895
Bi 2.0876 1.1126 5.3686
Bi 3.3429 3.4515 1.7895
Bi 2.0876 5.5854 5.3686
Bi 3.3429 7.9244 1.7895
```

The 10 most intense peaks (2θ = 15–90°), most intense first:
Position (°2θ), I (rel.)
28.02, 100
28.21, 47
40.90, 35
39.46, 33
40.19, 18
39.90, 18
49.58, 17
57.93, 12
51.04, 10
48.61, 9

---

ZnHgC4Se4N4: calculated powder X-ray diffraction pattern (Cu Kα, 1.54184 Å), based on DFT lattice parameters and positions (PBE).

Structural model:
```
14
Lattice="-5.7246 5.7246 2.6359 5.7246 -5.7246 2.6359 5.7246 5.7246 -2.6359" Properties=species:S:1:pos:R:3 pbc="T T T"
Zn 0.0000 0.0000 0.0000
Hg 5.7246 0.0000 1.3179
C 2.4595 -0.6899 1.8288
C 3.2651 6.4145 -0.8070
C 5.0347 3.2651 0.8070
C 0.6899 2.4595 3.4429
Se 4.5679 1.8934 -0.2758
Se 3.8312 -1.1567 2.9116
Se 1.8934 6.8812 0.2758
Se 1.1567 3.8312 2.3601
N 1.5458 -0.4148 1.1442
N 4.1788 6.1394 -1.4917
N 5.3098 4.1788 1.4917
N 0.4148 1.5458 4.1276
```

The 10 most intense peaks (2θ = 15–90°), most intense first:
Position (°2θ), I (rel.)
24.23, 100
15.48, 46
42.42, 40
28.88, 35
32.93, 31
43.07, 29
18.53, 22
35.05, 22
36.57, 18
24.59, 13

---

CsAlSnBr6: calculated powder X-ray diffraction pattern (Cu Kα, 1.54184 Å), based on DFT lattice parameters and positions (PBE).

Structural model:
```
9
Lattice="7.3517 0.0000 0.0000 -3.6758 6.3667 0.0000 0.0000 0.0000 7.9157" Properties=species:S:1:pos:R:3 pbc="T T T"
Cs 0.0000 0.0000 0.0000
Al 3.6758 2.1222 3.9579
Sn 0.0000 4.2445 3.9579
Br 2.7190 0.3052 5.4546
Br 1.6239 2.2021 2.4612
Br 4.6326 0.3052 2.4612
Br 2.5807 3.8594 5.4546
Br 5.7278 2.2021 5.4546
Br 4.7710 3.8594 2.4612
```

The 10 most intense peaks (2θ = 15–90°), most intense first:
Position (°2θ), I (rel.)
33.26, 100
17.88, 100
26.74, 90
39.13, 50
42.60, 36
52.52, 23
26.52, 21
30.26, 20
28.03, 19
55.09, 17

---

PaAlIrC: calculated powder X-ray diffraction pattern (Cu Kα, 1.54184 Å), based on DFT lattice parameters and positions (PBE).

Structural model:
```
8
Lattice="3.8654 0.0000 0.0000 0.0000 3.8654 0.0000 0.0000 0.0000 8.7821" Properties=species:S:1:pos:R:3 pbc="T T T"
Pa 0.9664 0.9664 1.3153
Pa 2.8991 2.8991 7.4668
Al 0.9664 0.9664 5.8843
Al 2.8991 2.8991 2.8978
Ir 0.9664 2.8991 4.3910
Ir 2.8991 0.9664 4.3910
C 0.9664 0.9664 7.8428
C 2.8991 2.8991 0.9392
```

The 10 most intense peaks (2θ = 15–90°), most intense first:
Position (°2θ), I (rel.)
34.36, 100
30.82, 68
38.81, 52
25.17, 49
30.54, 49
53.54, 44
47.02, 43
57.11, 35
57.28, 25
79.10, 19

---

Ba2Sr3Ca6: calculated powder X-ray diffraction pattern (Cu Kα, 1.54184 Å), based on DFT lattice parameters and positions (PBE).

Structural model:
```
11
Lattice="-2.0888 6.8181 9.6232 2.0888 -6.8181 9.6232 2.0888 6.8181 -9.6232" Properties=species:S:1:pos:R:3 pbc="T T T"
Ba 0.0000 0.0000 3.7444
Ba 0.0000 0.0000 15.5019
Sr 2.0888 0.0000 0.0000
Sr 2.0888 0.0000 7.5591
Sr 0.0000 6.8181 2.0641
Ca 2.0888 3.5012 -3.1924
Ca 0.0000 3.3719 0.0000
Ca 2.0888 3.5012 3.1924
Ca 0.0000 3.3169 6.4307
Ca 0.0000 10.2644 0.0000
Ca 0.0000 3.3169 12.8156
```

The 10 most intense peaks (2θ = 15–90°), most intense first:
Position (°2θ), I (rel.)
28.66, 100
24.02, 51
30.46, 49
26.14, 46
24.12, 40
47.72, 30
40.57, 24
53.83, 17
43.93, 15
50.14, 14

---

AlInHg: calculated powder X-ray diffraction pattern (Cu Kα, 1.54184 Å), based on DFT lattice parameters and positions (PBE).

Structural model:
```
12
Lattice="7.0549 0.0000 0.0000 0.0000 5.7895 0.0000 0.0000 0.0000 6.8792" Properties=species:S:1:pos:R:3 pbc="T T T"
Al 0.0000 0.0000 0.0000
Al 0.0000 2.8948 0.0000
Al 3.5275 0.0000 3.4396
Al 3.5275 2.8948 3.4396
In 0.6581 1.4474 2.5838
In 2.8693 4.3422 6.0234
In 4.1856 1.4474 0.8558
In 6.3968 4.3422 4.2954
Hg 1.5269 4.3422 2.0403
Hg 2.0005 1.4474 5.4798
Hg 5.0544 4.3422 1.3993
Hg 5.5280 1.4474 4.8389
```

The 10 most intense peaks (2θ = 15–90°), most intense first:
Position (°2θ), I (rel.)
32.45, 100
30.89, 56
42.44, 52
28.88, 47
20.05, 43
28.44, 39
42.79, 33
36.49, 28
40.74, 24
55.94, 23